Structure and computed PXRD pattern of Fe2CoSbO6 (the GGA+U geometry in Alexandria; Cu Ka).
Neutral-atom scattering factors, no anomalous dispersion.

Crystal structure
Cell: 5.2791 5.2837 5.5546 Å, 90.11 117.96 119.88°
Space group P1 (No. 1)
One atom of each set of equivalent atoms:
Fe 0.0000 0.0000 0.0000 [1 per cell]
Fe 0.0071 0.5013 0.5105 [1 per cell]
Co 0.4282 0.2120 0.6423 [1 per cell]
Sb 0.4182 0.7062 0.1258 [1 per cell]
O 0.2255 0.8981 0.8313 [1 per cell]
O 0.2280 0.7927 0.3294 [1 per cell]
O 0.5011 0.6005 0.8266 [1 per cell]
O 0.5400 0.4354 0.3313 [1 per cell]
O 0.8939 0.0981 0.3269 [1 per cell]
O 0.9294 0.3237 0.8335 [1 per cell]

Principal peaks in the range 2θ = 5–70°, by angle:
2θ/deg	I/Imax
20.42	24
23.27	34
32.12	76
32.33	38
33.93	100
52.08	19
52.30	19
52.51	19
59.55	21
60.67	25



Structure and computed PXRD pattern of Sr5Fe4CoO10 (the GGA+U geometry in Alexandria; Cu Ka).
Neutral-atom scattering factors, no anomalous dispersion.

Crystal structure
Cell: 4.0634 4.0634 17.3750 Å, 90.00 90.00 90.00°
Space group P4/mmm (No. 123)
One atom of each set of equivalent atoms:
Sr 0.0000 0.0000 0.0000 [1 per cell]
Sr 0.0000 0.0000 0.2009 [2 per cell]
Sr 0.0000 0.0000 0.4020 [2 per cell]
Fe 0.5000 0.5000 0.1002 [2 per cell]
Fe 0.5000 0.5000 0.3010 [2 per cell]
Co 0.5000 0.5000 0.5000 [1 per cell]
O 0.0000 0.5000 0.1002 [4 per cell]
O 0.0000 0.5000 0.3005 [4 per cell]
O 0.0000 0.5000 0.5000 [2 per cell]

Principal peaks in the range 2θ = 5–70°, by angle:
2θ/deg	I/Imax
21.87	5
31.13	37
33.94	100
40.75	10
44.60	33
50.20	1
52.68	10
57.21	42
62.46	11
64.91	10



Repeat the second record exactly.
Structure and computed PXRD pattern of Sr5Fe4CoO10 (the GGA+U geometry in Alexandria; Cu Ka).
Neutral-atom scattering factors, no anomalous dispersion.

Crystal structure
Cell: 4.0634 4.0634 17.3750 Å, 90.00 90.00 90.00°
Space group P4/mmm (No. 123)
One atom of each set of equivalent atoms:
Sr 0.0000 0.0000 0.0000 [1 per cell]
Sr 0.0000 0.0000 0.2009 [2 per cell]
Sr 0.0000 0.0000 0.4020 [2 per cell]
Fe 0.5000 0.5000 0.1002 [2 per cell]
Fe 0.5000 0.5000 0.3010 [2 per cell]
Co 0.5000 0.5000 0.5000 [1 per cell]
O 0.0000 0.5000 0.1002 [4 per cell]
O 0.0000 0.5000 0.3005 [4 per cell]
O 0.0000 0.5000 0.5000 [2 per cell]

Principal peaks in the range 2θ = 5–70°, by angle:
2θ/deg	I/Imax
21.87	5
31.13	37
33.94	100
40.75	10
44.60	33
50.20	1
52.68	10
57.21	42
62.46	11
64.91	10